Diffraction record for Tb5Pt4. The powder diffractogram is computed, not measured: it uses a structure optimized by DFT (PBE) and Cu Kα (weighted mean of Kα1 and Kα2).

Cell and atoms:
Cell lengths 7.491, 14.892, 7.605 Å; angles 90.00, 90.00, 90.00 degrees
Space group Pnma (No. 62)
Unique sites:
Tb  0.029  0.100  0.173
Tb  0.127  0.618  0.335
Tb  0.209  0.250  0.493
Pt  0.077  0.250  0.879
Pt  0.159  0.750  0.640
Pt  0.210  0.045  0.523

Main lines, sorted by position (2θ = 10–90°):
d_spacing, intensity
2.800, 1000
2.783, 383
2.668, 331
2.660, 307
2.640, 208
2.601, 286
2.494, 553
2.482, 320
2.371, 896
2.343, 274



Diffraction record for Tb3Pt4. The powder diffractogram is computed, not measured: it uses a structure optimized by DFT (PBE) and Cu Kα (weighted mean of Kα1 and Kα2).

Cell and atoms:
Cell lengths 13.3033, 13.3033, 5.7373 Å; angles 90.00, 90.00, 120.00 degrees
Space group R-3 (No. 148, hexagonal axes)
Unique sites:
Tb  0.0436  0.2103  0.2371
Pt  0.0000  0.0000  0.0000
Pt  0.0000  0.0000  0.5000
Pt  0.0546  0.2732  0.7207

Main lines, sorted by position (2θ = 10–90°):
d_spacing, intensity
2.790, 319
2.570, 197
2.514, 1000
2.397, 951
2.135, 221
1.945, 152
1.798, 111
1.734, 162
1.428, 233
1.312, 131



Diffraction record for TbPt. The powder diffractogram is computed, not measured: it uses a structure optimized by DFT (PBE) and Cu Kα (weighted mean of Kα1 and Kα2).

Cell and atoms:
Cell lengths 3.515, 3.515, 3.515 Å; angles 90.00, 90.00, 90.00 degrees
Space group Pm-3m (No. 221)
Unique sites:
Tb  0.000  0.000  0.000
Pt  0.500  0.500  0.500

Main lines, sorted by position (2θ = 10–90°):
d_spacing, intensity
3.515, 11
2.485, 1000
1.757, 178
1.572, 5
1.435, 367
1.243, 115
1.111, 168



Diffraction record for TbPt. The powder diffractogram is computed, not measured: it uses a structure optimized by DFT (PBE) and Cu Kα (weighted mean of Kα1 and Kα2).

Cell and atoms:
Cell lengths 7.067, 4.576, 5.580 Å; angles 90.00, 90.00, 90.00 degrees
Space group Pnma (No. 62)
Unique sites:
Tb  0.184  0.250  0.142
Pt  0.042  0.250  0.655

Main lines, sorted by position (2θ = 10–90°):
d_spacing, intensity
4.379, 175
2.796, 714
2.595, 400
2.500, 1000
2.288, 491
2.257, 851
2.170, 199
1.716, 234
1.684, 214
1.356, 209



Diffraction record for Tb4Pt. The powder diffractogram is computed, not measured: it uses a structure optimized by DFT (PBE) and Cu Kα (weighted mean of Kα1 and Kα2).

Cell and atoms:
Cell lengths 10.985, 10.985, 10.985 Å; angles 90.00, 90.00, 90.00 degrees
Space group Fd-3m (No. 227, origin choice 2)
Unique sites:
Tb  0.015  0.015  0.235
Pt  0.125  0.125  0.625

Main lines, sorted by position (2θ = 10–90°):
d_spacing, intensity
3.884, 316
3.171, 1000
2.746, 223
2.520, 339
2.114, 311
1.942, 574
1.656, 336
1.468, 108
1.342, 135
1.121, 129



Diffraction record for TbPt3. The powder diffractogram is computed, not measured: it uses a structure optimized by DFT (PBE) and Cu Kα (weighted mean of Kα1 and Kα2).

Cell and atoms:
Cell lengths 4.132, 4.132, 4.132 Å; angles 90.00, 90.00, 90.00 degrees
Space group Pm-3m (No. 221)
Unique sites:
Tb  0.000  0.000  0.000
Pt  0.000  0.500  0.500

Main lines, sorted by position (2θ = 10–90°):
d_spacing, intensity
4.132, 6
2.922, 6
2.385, 1000
2.066, 495
1.461, 329
1.246, 391
1.193, 114



Diffraction record for Ti2TcPt. The powder diffractogram is computed, not measured: it uses a structure optimized by DFT (PBE) and Cu Kα (weighted mean of Kα1 and Kα2).

Cell and atoms:
Cell lengths 6.259, 6.259, 6.259 Å; angles 90.00, 90.00, 90.00 degrees
Space group Fm-3m (No. 225)
Unique sites:
Ti  0.250  0.250  0.250
Tc  0.000  0.000  0.000
Pt  0.000  0.000  0.500

Main lines, sorted by position (2θ = 10–90°):
d_spacing, intensity
3.613, 132
3.129, 335
2.213, 1000
1.887, 72
1.807, 99
1.565, 164
1.436, 31
1.400, 133
1.278, 328
1.106, 107



Diffraction record for Te4Pt3. The powder diffractogram is computed, not measured: it uses a structure optimized by DFT (PBE) and Cu Kα (weighted mean of Kα1 and Kα2).

Cell and atoms:
Cell lengths 4.0494, 4.0494, 36.4140 Å; angles 90.00, 90.00, 120.00 degrees
Space group R-3m (No. 166, hexagonal axes)
Unique sites:
Te  0.0000  0.0000  0.0537
Te  0.0000  0.0000  0.2046
Pt  0.0000  0.0000  0.3537
Pt  0.0000  0.0000  0.5000

Main lines, sorted by position (2θ = 10–90°):
d_spacing, intensity
6.069, 316
2.908, 1000
2.189, 247
2.089, 218
2.025, 435
1.921, 102
1.662, 193
1.616, 173
1.284, 164
1.122, 128



Please write out number 1 again, unchanged.
Diffraction record for Tb5Pt4. The powder diffractogram is computed, not measured: it uses a structure optimized by DFT (PBE) and Cu Kα (weighted mean of Kα1 and Kα2).

Cell and atoms:
Cell lengths 7.491, 14.892, 7.605 Å; angles 90.00, 90.00, 90.00 degrees
Space group Pnma (No. 62)
Unique sites:
Tb  0.029  0.100  0.173
Tb  0.127  0.618  0.335
Tb  0.209  0.250  0.493
Pt  0.077  0.250  0.879
Pt  0.159  0.750  0.640
Pt  0.210  0.045  0.523

Main lines, sorted by position (2θ = 10–90°):
d_spacing, intensity
2.800, 1000
2.783, 383
2.668, 331
2.660, 307
2.640, 208
2.601, 286
2.494, 553
2.482, 320
2.371, 896
2.343, 274